Record 1
Computed powder diffraction line list
Compound: Dy5NiPb3
Radiation: a wavelength of 1.5418 Å
Structure: a cell relaxed with PBE

Principal peaks in the range 10 to 90 degrees two-theta, by angle:
two_theta, I (rel.), h k l
26.6, 19, 0 0 2
32.7, 100, 2 1 1
33.1, 82, 1 1 2
33.8, 40, 3 0 0
43.2, 19, 3 1 1
50.9, 29, 2 1 3

Atomic structure:
a = 9.1760 Å, b = 9.1760 Å, c = 6.7079 Å
α = 90.00°, β = 90.00°, γ = 120.00°
Space group P6_3/mcm (No. 193)
Inequivalent atoms, fractional coordinates:
Dy (0.0000, 0.2384, 0.2500) x6
Dy (0.3333, 0.6667, 0.0000) x4
Ni (0.0000, 0.0000, 0.0000) x2
Pb (0.0000, 0.3998, 0.7500) x6

Record 2
Computed powder diffraction line list
Compound: Dy4Ni3Pd
Radiation: a wavelength of 1.5418 Å
Structure: a cell relaxed with PBE

Principal peaks in the range 10 to 90 degrees two-theta, by angle:
two_theta, I (rel.), h k l
29.5, 77, 1 1 1
33.0, 100, 0 1 2
35.0, 89, 2 0 -1
36.9, 92, 1 1 -2
41.2, 84, 2 1 -1
42.7, 54, 0 2 0

Atomic structure:
a = 5.4974 Å, b = 4.2309 Å, c = 7.0751 Å
α = 90.00°, β = 90.07°, γ = 90.00°
Space group Pm (No. 6)
Inequivalent atoms, fractional coordinates:
Dy (0.0000, 0.0000, 0.0000) x1
Dy (0.2267, 0.0000, 0.5044) x1
Dy (0.4923, 0.5000, 0.1344) x1
Dy (0.7285, 0.5000, 0.6494) x1
Ni (0.0065, 0.5000, 0.2775) x1
Ni (0.2352, 0.5000, 0.7832) x1
Ni (0.4871, 0.0000, 0.8560) x1
Pd (0.7249, 0.0000, 0.3624) x1

Record 3
Computed powder diffraction line list
Compound: PrDy2Si4Ni4
Radiation: a wavelength of 1.5418 Å
Structure: a cell relaxed with PBE

Principal peaks in the range 10 to 90 degrees two-theta, by angle:
two_theta, I (rel.), h k l
24.9, 29, 0 1 3
35.1, 100, 1 1 4
35.2, 37, 1 0 7
41.7, 20, 0 1 9
44.8, 22, 0 2 0
45.0, 20, 2 0 0

Atomic structure:
a = 4.0255 Å, b = 4.0478 Å, c = 23.0507 Å
α = 90.00°, β = 90.00°, γ = 90.00°
Space group Immm (No. 71)
Inequivalent atoms, fractional coordinates:
Pr (0.0000, 0.0000, 0.0000) x2
Dy (0.0000, 0.5000, 0.1500) x4
Si (0.0000, 0.0000, 0.4466) x4
Si (0.0000, 0.5000, 0.3008) x4
Ni (0.0000, 0.0000, 0.2489) x4
Ni (0.0000, 0.5000, 0.3995) x4

Record 4
Computed powder diffraction line list
Compound: PrDy2Zn2Si4Ni2
Radiation: a wavelength of 1.5418 Å
Structure: a cell relaxed with PBE

Principal peaks in the range 10 to 90 degrees two-theta, by angle:
two_theta, I (rel.), h k l
24.5, 36, 0 1 3
34.5, 43, 1 0 7
34.6, 100, 1 1 4
40.8, 31, 0 1 9
44.3, 23, 0 2 0
44.5, 23, 2 0 0

Atomic structure:
a = 4.0701 Å, b = 4.0893 Å, c = 23.6822 Å
α = 90.00°, β = 90.00°, γ = 90.00°
Space group Immm (No. 71)
Inequivalent atoms, fractional coordinates:
Pr (0.0000, 0.0000, 0.0000) x2
Dy (0.0000, 0.5000, 0.1545) x4
Zn (0.0000, 0.5000, 0.3984) x4
Si (0.0000, 0.0000, 0.4492) x4
Si (0.0000, 0.5000, 0.2976) x4
Ni (0.0000, 0.0000, 0.2506) x4

Record 5
Computed powder diffraction line list
Compound: Pr2DyZn2Si4Ni2
Radiation: a wavelength of 1.5418 Å
Structure: a cell relaxed with PBE

Principal peaks in the range 10 to 90 degrees two-theta, by angle:
two_theta, I (rel.), h k l
24.3, 31, 0 1 3
34.1, 44, 1 0 7
34.3, 100, 1 1 4
40.3, 24, 0 1 9
44.0, 22, 0 2 0
44.2, 22, 2 0 0

Atomic structure:
a = 4.0988 Å, b = 4.1160 Å, c = 24.0063 Å
α = 90.00°, β = 90.00°, γ = 90.00°
Space group Immm (No. 71)
Inequivalent atoms, fractional coordinates:
Pr (0.0000, 0.0000, 0.1516) x4
Dy (0.0000, 0.5000, 0.0000) x2
Zn (0.0000, 0.0000, 0.4016) x4
Si (0.0000, 0.0000, 0.2976) x4
Si (0.0000, 0.5000, 0.4515) x4
Ni (0.0000, 0.5000, 0.2500) x4

Record 6
Computed powder diffraction line list
Compound: PrDyNi2Sn
Radiation: a wavelength of 1.5418 Å
Structure: a cell relaxed with PBE

Principal peaks in the range 10 to 90 degrees two-theta, by angle:
two_theta, I (rel.), h k l
31.2, 18, 0 2 0
33.5, 100, 1 1 2
35.4, 28, 0 1 3
39.2, 42, 1 2 1
42.0, 25, 2 0 0
67.7, 23, 1 2 5

Atomic structure:
a = 4.3011 Å, b = 5.7385 Å, c = 8.4927 Å
α = 90.00°, β = 90.00°, γ = 90.00°
Space group Imm2 (No. 44)
Inequivalent atoms, fractional coordinates:
Pr (0.0000, 0.0000, 0.0000) x2
Dy (0.0000, 0.0000, 0.4052) x2
Ni (0.0000, 0.2895, 0.7046) x4
Sn (0.0000, 0.5000, 0.1994) x2

Record 7
Computed powder diffraction line list
Compound: PrDyZnNi2
Radiation: a wavelength of 1.5418 Å
Structure: a cell relaxed with PBE

Principal peaks in the range 10 to 90 degrees two-theta, by angle:
two_theta, I (rel.), h k l
26.5, 40, 1 1 0
34.4, 100, 1 1 2
36.6, 32, 0 1 3
39.8, 28, 0 2 2
40.9, 45, 1 2 1
42.2, 32, 2 0 0

Atomic structure:
a = 4.2854 Å, b = 5.4215 Å, c = 8.2747 Å
α = 90.00°, β = 90.00°, γ = 90.00°
Space group Imm2 (No. 44)
Inequivalent atoms, fractional coordinates:
Pr (0.0000, 0.0000, 0.0000) x2
Dy (0.0000, 0.0000, 0.5952) x2
Zn (0.0000, 0.5000, 0.7973) x2
Ni (0.0000, 0.2682, 0.2969) x4

Record 8
Computed powder diffraction line list
Compound: DySc2Si4Ni4
Radiation: a wavelength of 1.5418 Å
Structure: a cell relaxed with PBE

Principal peaks in the range 10 to 90 degrees two-theta, by angle:
two_theta, I (rel.), h k l
15.2, 44, 0 1 1
30.2, 42, 1 1 2
31.2, 42, 1 0 3
36.5, 100, 1 2 1
39.0, 73, 1 1 4
46.6, 41, 0 3 3

Atomic structure:
a = 3.8761 Å, b = 6.5697 Å, c = 12.7907 Å
α = 90.00°, β = 90.00°, γ = 90.00°
Space group Immm (No. 71)
Inequivalent atoms, fractional coordinates:
Dy (0.0000, 0.0000, 0.0000) x2
Sc (0.0000, 0.5000, 0.1257) x4
Si (0.0000, 0.0000, 0.2233) x4
Si (0.0000, 0.1827, 0.5000) x4
Ni (0.0000, 0.3031, 0.3227) x8

Record 9
Computed powder diffraction line list
Compound: DyTm6Ni2Se2
Radiation: a wavelength of 1.5418 Å
Structure: a cell relaxed with PBE

Principal peaks in the range 10 to 90 degrees two-theta, by angle:
two_theta, I (rel.), h k l
29.7, 50, 1 3 0
31.3, 60, 1 1 2
31.5, 30, 0 5 1
34.3, 68, 0 3 3
35.2, 100, 1 4 1
35.7, 50, 1 3 2

Atomic structure:
a = 3.7643 Å, b = 14.9336 Å, c = 9.2095 Å
α = 90.00°, β = 90.00°, γ = 90.00°
Space group Imm2 (No. 44)
Inequivalent atoms, fractional coordinates:
Dy (0.0000, 0.0000, 0.0000) x2
Tm (0.0000, 0.1259, 0.5860) x4
Tm (0.0000, 0.3162, 0.3814) x4
Tm (0.0000, 0.3585, 0.7403) x4
Ni (0.0000, 0.2390, 0.0757) x4
Se (0.0000, 0.0000, 0.3393) x2
Se (0.0000, 0.5000, 0.2398) x2

Record 10
Computed powder diffraction line list
Compound: Dy2YTm4Ni2Se2
Radiation: a wavelength of 1.5418 Å
Structure: a cell relaxed with PBE

Principal peaks in the range 10 to 90 degrees two-theta, by angle:
two_theta, I (rel.), h k l
29.6, 46, 0 1 3
31.1, 53, 1 1 2
34.2, 71, 0 3 3
35.1, 100, 1 4 1
35.5, 62, 1 3 2
48.1, 29, 2 0 0

Atomic structure:
a = 3.7842 Å, b = 15.0059 Å, c = 9.2444 Å
α = 90.00°, β = 90.00°, γ = 90.00°
Space group Imm2 (No. 44)
Inequivalent atoms, fractional coordinates:
Dy (0.0000, 0.1423, 0.0000) x4
Y (0.0000, 0.5000, 0.7410) x2
Tm (0.0000, 0.1831, 0.3590) x4
Tm (0.0000, 0.3737, 0.1539) x4
Ni (0.0000, 0.2603, 0.6661) x4
Se (0.0000, 0.0000, 0.5010) x2
Se (0.0000, 0.5000, 0.3994) x2

Record 11
Computed powder diffraction line list
Compound: Dy4YTm2Ni2Se2
Radiation: a wavelength of 1.5418 Å
Structure: a cell relaxed with PBE

Principal peaks in the range 10 to 90 degrees two-theta, by angle:
two_theta, I (rel.), h k l
29.5, 48, 0 1 3
31.1, 52, 1 1 2
34.1, 69, 0 3 3
34.9, 100, 1 4 1
35.4, 60, 1 3 2
48.0, 29, 2 0 0

Atomic structure:
a = 3.7902 Å, b = 15.0776 Å, c = 9.2680 Å
α = 90.00°, β = 90.00°, γ = 90.00°
Space group Imm2 (No. 44)
Inequivalent atoms, fractional coordinates:
Dy (0.0000, 0.1250, 0.0000) x4
Dy (0.0000, 0.3588, 0.8464) x4
Y (0.0000, 0.0000, 0.5878) x2
Tm (0.0000, 0.3163, 0.2038) x4
Ni (0.0000, 0.2385, 0.5114) x4
Se (0.0000, 0.0000, 0.2493) x2
Se (0.0000, 0.5000, 0.3434) x2

Record 12
Computed powder diffraction line list
Compound: Sm2DyZn2Si4Ni2
Radiation: a wavelength of 1.5418 Å
Structure: a cell relaxed with PBE

Principal peaks in the range 10 to 90 degrees two-theta, by angle:
two_theta, I (rel.), h k l
24.5, 31, 0 1 3
34.4, 45, 1 0 7
34.7, 100, 1 1 4
40.6, 25, 0 1 9
44.5, 22, 0 2 0
44.8, 21, 2 0 0

Atomic structure:
a = 4.0482 Å, b = 4.0752 Å, c = 23.8860 Å
α = 90.00°, β = 90.00°, γ = 90.00°
Space group Immm (No. 71)
Inequivalent atoms, fractional coordinates:
Sm (0.0000, 0.0000, 0.1520) x4
Dy (0.0000, 0.5000, 0.0000) x2
Zn (0.0000, 0.0000, 0.4010) x4
Si (0.0000, 0.0000, 0.2984) x4
Si (0.0000, 0.5000, 0.4511) x4
Ni (0.0000, 0.5000, 0.2502) x4

Record 13
Computed powder diffraction line list
Compound: SrDySi4Ni2
Radiation: a wavelength of 1.5418 Å
Structure: a cell relaxed with PBE

Principal peaks in the range 10 to 90 degrees two-theta, by angle:
two_theta, I (rel.), h k l
10.5, 38, 0 0 2
31.7, 88, 1 1 1
34.5, 82, 0 1 5
35.2, 100, 1 1 3
39.3, 44, 1 0 6
44.2, 38, 0 2 0

Atomic structure:
a = 3.9891 Å, b = 4.1012 Å, c = 16.8117 Å
α = 90.00°, β = 90.00°, γ = 90.00°
Space group Amm2 (No. 38)
Inequivalent atoms, fractional coordinates:
Sr (0.0000, 0.0000, 0.0000) x2
Dy (0.5000, 0.0000, 0.2151) x2
Si (0.0000, 0.0000, 0.3527) x2
Si (0.0000, 0.0000, 0.6493) x2
Si (0.5000, 0.0000, 0.5688) x2
Si (0.5000, 0.0000, 0.8530) x2
Ni (0.0000, 0.0000, 0.7827) x2
Ni (0.5000, 0.0000, 0.4244) x2

Record 14
Computed powder diffraction line list
Compound: Dy3Zn2Si4Ni2
Radiation: a wavelength of 1.5418 Å
Structure: a cell relaxed with PBE

Principal peaks in the range 10 to 90 degrees two-theta, by angle:
two_theta, I (rel.), h k l
24.7, 34, 0 1 3
34.7, 41, 1 0 7
35.1, 100, 1 1 4
40.8, 24, 0 1 9
44.8, 22, 0 2 0
45.6, 21, 2 0 0

Atomic structure:
a = 3.9784 Å, b = 4.0448 Å, c = 23.7784 Å
α = 90.00°, β = 90.00°, γ = 90.00°
Space group Immm (No. 71)
Inequivalent atoms, fractional coordinates:
Dy (0.0000, 0.0000, 0.0000) x2
Dy (0.0000, 0.5000, 0.1525) x4
Zn (0.0000, 0.5000, 0.4004) x4
Si (0.0000, 0.0000, 0.4507) x4
Si (0.0000, 0.5000, 0.2994) x4
Ni (0.0000, 0.0000, 0.2509) x4